Record 1
This entry pairs a crystal structure of CsPaWN4 with its theoretical PXRD pattern. Radiation: Cu Kα. Structure: a structure optimized by DFT (PBE).
No peak broadening, texture or thermal motion is included.

Crystal structure
Cell: 6.134 6.099 8.507 Å, 90.00 109.48 90.00°
Space group P2_1/m (No. 11)
Inequivalent atoms, fractional coordinates:
1 Cs 0.188 0.250 0.430 (multiplicity 2)
2 Pa 0.294 0.250 0.956 (multiplicity 2)
3 W 0.243 0.750 0.143 (multiplicity 2)
4 N 0.012 0.750 0.942 (multiplicity 2)
5 N 0.035 0.750 0.264 (multiplicity 2)
6 N 0.452 0.517 0.148 (multiplicity 4)

Top 10 peaks for 2θ = 10–90°, by angle:
two_theta, Rel. int., h k l
11.0, 100, 0 0 1
18.3, 29, 0 1 1
21.7, 23, 1 0 1
26.6, 69, 0 1 2
26.8, 42, 1 1 -2
29.3, 53, 0 2 0
30.9, 27, 2 0 0
32.7, 34, 2 1 -1
34.9, 35, 2 1 -2
43.1, 28, 2 2 0



Record 2
This entry pairs a crystal structure of CaBiSe2F with its theoretical PXRD pattern. Radiation: Cu Kα. Structure: a structure optimized by DFT (PBE).
No peak broadening, texture or thermal motion is included.

Crystal structure
Cell: 4.074 4.074 14.749 Å, 90.00 90.00 90.00°
Space group P4/nmm (No. 129, origin choice 2)
Inequivalent atoms, fractional coordinates:
1 Ca 0.250 0.250 0.088 (multiplicity 2)
2 Bi 0.250 0.250 0.641 (multiplicity 2)
3 Se 0.250 0.250 0.400 (multiplicity 2)
4 Se 0.250 0.250 0.822 (multiplicity 2)
5 F 0.250 0.750 0.000 (multiplicity 2)

Top 10 peaks for 2θ = 10–90°, by angle:
two_theta, Rel. int., h k l
18.0, 25, 0 0 3
22.6, 75, 1 0 1
24.1, 48, 0 0 4
31.0, 100, 1 1 0
31.6, 26, 1 1 1
37.6, 56, 1 0 5
39.7, 69, 1 1 4
44.5, 45, 2 0 0
51.2, 26, 2 0 4
59.6, 30, 2 1 5



Record 3
This entry pairs a crystal structure of DyErThZn with its theoretical PXRD pattern. Radiation: Cu Kα. Structure: a structure optimized by DFT (PBE).
No peak broadening, texture or thermal motion is included.

Crystal structure
Cell: 3.549 3.549 8.535 Å, 90.00 90.00 90.00°
Space group P4mm (No. 99)
Inequivalent atoms, fractional coordinates:
1 Dy 0.000 0.000 0.000 (multiplicity 1)
2 Er 0.000 0.000 0.580 (multiplicity 1)
3 Th 0.500 0.500 0.291 (multiplicity 1)
4 Zn 0.500 0.500 0.787 (multiplicity 1)

Top 10 peaks for 2θ = 10–90°, by angle:
two_theta, Rel. int., h k l
27.2, 26, 1 0 1
31.4, 12, 0 0 3
32.8, 100, 1 0 2
35.8, 45, 1 1 0
48.4, 14, 1 1 3
51.5, 16, 2 0 0
56.6, 14, 1 1 4
60.2, 11, 1 0 5
62.4, 32, 2 1 2
83.1, 10, 2 1 5



Record 4
This entry pairs a crystal structure of Ba3Ac3NdS8 with its theoretical PXRD pattern. Radiation: Cu Kα. Structure: a structure optimized by DFT (PBE).
No peak broadening, texture or thermal motion is included.

Crystal structure
Cell: 8.6989 8.6989 21.9972 Å, 90.00 90.00 120.00°
Space group R-3m (No. 166, hexagonal axes)
Inequivalent atoms, fractional coordinates:
1 Ba 0.0000 0.5000 0.0000 (multiplicity 9)
2 Ac 0.0000 0.5000 0.5000 (multiplicity 9)
3 Nd 0.0000 0.0000 0.5000 (multiplicity 3)
4 S 0.0000 0.0000 0.2443 (multiplicity 6)
5 S 0.0142 0.5071 0.2394 (multiplicity 18)

Top 10 peaks for 2θ = 10–90°, by angle:
two_theta, Rel. int., h k l
12.1, 23, 0 0 3
24.3, 21, 0 0 6
25.0, 56, 2 0 2
28.7, 100, 0 2 4
40.6, 38, 2 0 8
41.5, 37, 2 2 0
48.7, 21, 2 2 6
51.3, 19, 4 0 4
66.7, 16, 2 2 12
68.0, 17, 2 4 4



Record 5
This entry pairs a crystal structure of Ba3Sn8Au3 with its theoretical PXRD pattern. Radiation: Cu Kα. Structure: a structure optimized by DFT (PBE).
No peak broadening, texture or thermal motion is included.

Crystal structure
Cell: 18.632 4.764 10.577 Å, 90.00 116.25 90.00°
Space group C2/m (No. 12)
Inequivalent atoms, fractional coordinates:
1 Ba 0.000 0.000 0.000 (multiplicity 2)
2 Ba 0.220 0.500 0.692 (multiplicity 4)
3 Sn 0.032 0.500 0.707 (multiplicity 4)
4 Sn 0.119 0.500 0.257 (multiplicity 4)
5 Sn 0.124 0.000 0.427 (multiplicity 4)
6 Sn 0.173 0.000 0.902 (multiplicity 4)
7 Au 0.000 0.000 0.500 (multiplicity 2)
8 Au 0.160 0.500 0.032 (multiplicity 4)

Top 10 peaks for 2θ = 10–90°, by angle:
two_theta, Rel. int., h k l
28.7, 100, 1 1 2
29.1, 41, 6 0 -2
30.6, 30, 5 1 -1
31.8, 22, 3 1 -3
32.4, 23, 1 1 -3
37.5, 26, 6 0 1
37.8, 52, 0 2 0
40.3, 31, 5 1 -4
40.6, 31, 7 1 -3
48.4, 21, 6 2 -2



Record 6
This entry pairs a crystal structure of Mg5As4H22O26 with its theoretical PXRD pattern. Radiation: Cu Kα. Structure: a structure optimized by DFT (PBE).
No peak broadening, texture or thermal motion is included.

Crystal structure
Cell: 6.711 7.833 10.625 Å, 81.03 81.28 84.38°
Space group P-1 (No. 2)
Inequivalent atoms, fractional coordinates:
1 Mg 0.000 0.000 0.000 (multiplicity 1)
2 Mg 0.110 0.635 0.565 (multiplicity 2)
3 Mg 0.397 0.919 0.407 (multiplicity 2)
4 As 0.082 0.036 0.664 (multiplicity 2)
5 As 0.403 0.370 0.369 (multiplicity 2)
6 H 0.099 0.466 0.136 (multiplicity 2)
7 H 0.104 0.340 0.761 (multiplicity 2)
8 H 0.124 0.763 0.857 (multiplicity 2)
9 H 0.187 0.656 0.988 (multiplicity 2)
10 H 0.201 0.187 0.299 (multiplicity 2)
11 H 0.262 0.477 0.767 (multiplicity 2)
12 H 0.264 0.207 0.062 (multiplicity 2)
13 H 0.334 0.473 0.124 (multiplicity 2)
14 H 0.351 0.011 0.102 (multiplicity 2)
15 H 0.374 0.131 0.807 (multiplicity 2)
16 H 0.469 0.722 0.225 (multiplicity 2)
17 O 0.024 0.821 0.699 (multiplicity 2)
18 O 0.096 0.119 0.803 (multiplicity 2)
19 O 0.106 0.848 0.414 (multiplicity 2)
20 O 0.123 0.468 0.746 (multiplicity 2)
21 O 0.156 0.775 0.943 (multiplicity 2)
22 O 0.175 0.438 0.447 (multiplicity 2)
23 O 0.224 0.454 0.075 (multiplicity 2)
24 O 0.263 0.086 0.046 (multiplicity 2)
25 O 0.313 0.046 0.570 (multiplicity 2)
26 O 0.355 0.180 0.308 (multiplicity 2)
27 O 0.414 0.685 0.533 (multiplicity 2)
28 O 0.481 0.850 0.223 (multiplicity 2)
29 O 0.488 0.509 0.235 (multiplicity 2)

Top 10 peaks for 2θ = 10–90°, by angle:
two_theta, Rel. int., h k l
18.3, 84, 1 -1 0
21.5, 37, 1 1 2
23.1, 37, 0 2 0
25.7, 92, 0 2 -1
26.7, 58, 0 2 2
29.5, 100, 2 0 -1
29.7, 36, 0 1 -3
29.9, 68, 2 0 2
30.8, 42, 0 2 -2
32.2, 45, 0 2 3



Record 7
This entry pairs a crystal structure of Hf3NbAl with its theoretical PXRD pattern. Radiation: Cu Kα. Structure: a structure optimized by DFT (PBE).
No peak broadening, texture or thermal motion is included.

Crystal structure
Cell: 5.043 5.043 5.043 Å, 90.00 90.00 90.00°
Space group Pm-3m (No. 221)
Inequivalent atoms, fractional coordinates:
1 Hf 0.000 0.000 0.500 (multiplicity 3)
2 Nb 0.000 0.000 0.000 (multiplicity 1)
3 Al 0.500 0.500 0.500 (multiplicity 1)

Top 10 peaks for 2θ = 10–90°, by angle:
two_theta, Rel. int., h k l
17.6, 81, 1 0 0
30.7, 98, 1 1 1
35.6, 100, 2 0 0
40.0, 41, 2 1 0
51.2, 71, 2 2 0
54.6, 21, 3 0 0
60.9, 43, 3 1 1
63.9, 24, 2 2 2
83.6, 18, 3 3 1
86.3, 33, 4 2 0



Record 8
This entry pairs a crystal structure of TbHo3Th5 with its theoretical PXRD pattern. Radiation: Cu Kα. Structure: a structure optimized by DFT (PBE).
No peak broadening, texture or thermal motion is included.

Crystal structure
Cell: 9.173 9.173 14.245 Å, 90.00 90.00 90.00°
Space group I4/mcm (No. 140)
Inequivalent atoms, fractional coordinates:
1 Tb 0.000 0.500 0.250 (multiplicity 4)
2 Ho 0.000 0.000 0.250 (multiplicity 4)
3 Ho 0.104 0.396 0.000 (multiplicity 8)
4 Th 0.000 0.000 0.000 (multiplicity 4)
5 Th 0.207 0.293 0.373 (multiplicity 16)

Top 10 peaks for 2θ = 10–90°, by angle:
two_theta, Rel. int., h k l
27.5, 56, 2 2 0
28.8, 35, 2 1 3
30.8, 14, 3 1 0
31.8, 100, 2 0 4
35.9, 20, 3 2 1
38.5, 15, 2 1 5
41.1, 21, 4 1 1
51.4, 30, 0 0 8
59.2, 14, 2 2 8
61.8, 16, 6 1 1



Record 9
This entry pairs a crystal structure of KPm2USe5 with its theoretical PXRD pattern. Radiation: Cu Kα. Structure: a structure optimized by DFT (PBE).
No peak broadening, texture or thermal motion is included.

Crystal structure
Cell: 5.283 7.498 14.490 Å, 90.00 90.00 90.00°
Space group Immm (No. 71)
Inequivalent atoms, fractional coordinates:
1 K 0.000 0.000 0.000 (multiplicity 2)
2 Pm 0.000 0.500 0.203 (multiplicity 4)
3 U 0.000 0.000 0.500 (multiplicity 2)
4 Se 0.000 0.239 0.348 (multiplicity 8)
5 Se 0.000 0.500 0.000 (multiplicity 2)

Top 10 peaks for 2θ = 10–90°, by angle:
two_theta, Rel. int., h k l
13.3, 100, 0 1 1
24.0, 72, 1 1 2
33.1, 28, 0 1 5
33.9, 38, 2 0 0
34.4, 39, 0 2 4
34.7, 63, 1 2 3
36.6, 18, 2 1 1
41.9, 24, 1 3 2
48.1, 29, 2 1 5
49.1, 29, 2 2 4



Record 10
This entry pairs a crystal structure of Pm2AlPt7 with its theoretical PXRD pattern. Radiation: Cu Kα. Structure: a structure optimized by DFT (PBE).
No peak broadening, texture or thermal motion is included.

Crystal structure
Cell: 3.952 3.952 12.514 Å, 90.00 90.00 90.00°
Space group P-4m2 (No. 115)
Inequivalent atoms, fractional coordinates:
1 Pm 0.000 0.500 0.234 (multiplicity 2)
2 Al 0.000 0.000 0.500 (multiplicity 1)
3 Pt 0.000 0.000 0.000 (multiplicity 1)
4 Pt 0.000 0.500 0.642 (multiplicity 2)
5 Pt 0.000 0.500 0.848 (multiplicity 2)
6 Pt 0.500 0.500 0.000 (multiplicity 1)
7 Pt 0.500 0.500 0.500 (multiplicity 1)

Top 10 peaks for 2θ = 10–90°, by angle:
two_theta, Rel. int., h k l
23.6, 29, 1 0 1
31.2, 38, 1 0 3
35.2, 100, 1 1 2
42.8, 51, 1 0 5
43.4, 54, 1 1 4
45.9, 55, 2 0 0
64.5, 30, 2 1 5
67.0, 18, 2 2 0
77.9, 31, 2 0 8
83.2, 20, 3 1 4



Record 11
This entry pairs a crystal structure of RbNbFe2 with its theoretical PXRD pattern. Radiation: Cu Kα. Structure: a structure optimized by DFT (PBE).
No peak broadening, texture or thermal motion is included.

Crystal structure
Cell: 4.958 4.958 15.994 Å, 90.00 90.00 90.00°
Space group I4_1/amd (No. 141, origin choice 2)
Inequivalent atoms, fractional coordinates:
1 Rb 0.000 0.250 0.375 (multiplicity 4)
2 Nb 0.000 0.250 0.875 (multiplicity 4)
3 Fe 0.000 0.000 0.000 (multiplicity 8)

Top 10 peaks for 2θ = 10–90°, by angle:
two_theta, Rel. int., h k l
18.7, 36, 1 0 1
27.8, 100, 1 1 2
36.2, 24, 2 0 0
38.0, 18, 2 0 2
42.6, 31, 1 1 6
42.9, 30, 2 0 4
45.4, 17, 0 0 8
57.4, 33, 2 2 4
60.1, 22, 3 1 2
69.6, 14, 3 1 6



Record 12
This entry pairs a crystal structure of DyCd2Pd9 with its theoretical PXRD pattern. Radiation: Cu Kα. Structure: a structure optimized by DFT (PBE).
No peak broadening, texture or thermal motion is included.

Crystal structure
Cell: 4.058 4.058 12.225 Å, 90.00 90.00 90.00°
Space group P4/mmm (No. 123)
Inequivalent atoms, fractional coordinates:
1 Dy 0.000 0.000 0.000 (multiplicity 1)
2 Cd 0.000 0.000 0.337 (multiplicity 2)
3 Pd 0.000 0.500 0.171 (multiplicity 4)
4 Pd 0.000 0.500 0.500 (multiplicity 2)
5 Pd 0.500 0.500 0.000 (multiplicity 1)
6 Pd 0.500 0.500 0.334 (multiplicity 2)

Top 10 peaks for 2θ = 10–90°, by angle:
two_theta, Rel. int., h k l
21.9, 1, 0 0 3
31.1, 1, 1 1 0
38.4, 100, 1 1 3
44.5, 16, 0 0 6
44.7, 32, 2 0 0
64.8, 21, 2 0 6
65.0, 10, 2 2 0
77.8, 12, 1 1 9
78.1, 24, 3 1 3
82.2, 10, 2 2 6